Entry 1:
Tb4Er4Tm5: simulated powder X-ray diffraction pattern (CuKα), based on a PBE-relaxed structure.
No peak broadening, texture or thermal motion is included.

Cell and atoms:
Unit cell a=9.2836 b=9.2836 c=9.2836 alpha=94.08 beta=94.08 gamma=149.05
Element x y z (fractional)
1 Tb 0.1534 0.7698 0.9232
2 Tb 0.2302 0.1534 0.3836
3 Tb 0.7698 0.8466 0.6163
4 Tb 0.8466 0.2302 0.0768
5 Er 0.0771 0.3849 0.4619
6 Er 0.3849 0.9229 0.3078
7 Er 0.6151 0.0771 0.6922
8 Er 0.9229 0.6151 0.5381
9 Tm 0.0000 0.0000 0.0000
10 Tm 0.3079 0.5381 0.8461
11 Tm 0.4619 0.3079 0.7698
12 Tm 0.5381 0.6921 0.2302
13 Tm 0.6921 0.4619 0.1539

Largest 5 diffraction maxima, sorted by position, 5 to 70 degrees two-theta:
2theta  d/Å  intensity
31.23  2.864  1000
36.22  2.480  506
52.16  1.754  359
62.06  1.496  426
65.15  1.432  123


Entry 2:
Tb5Er2Tm4: simulated powder X-ray diffraction pattern (CuKα), based on a PBE-relaxed structure.
No peak broadening, texture or thermal motion is included.

Cell and atoms:
Unit cell a=6.5427 b=6.5427 c=9.1243 alpha=104.32 beta=104.32 gamma=67.07
Element x y z (fractional)
1 Tb 0.0000 0.0000 0.0000
2 Tb 0.2115 0.6529 0.7259
3 Tb 0.3471 0.7885 0.2741
4 Tb 0.6529 0.2115 0.7259
5 Tb 0.7885 0.3471 0.2741
6 Er 0.1462 0.1462 0.6196
7 Er 0.8538 0.8538 0.3804
8 Tm 0.3116 0.3116 0.0005
9 Tm 0.3333 0.3333 0.3804
10 Tm 0.6667 0.6667 0.6196
11 Tm 0.6884 0.6884 0.9995

Largest 12 diffraction maxima, sorted by position, 5 to 70 degrees two-theta:
2theta  d/Å  intensity
30.10  2.969  648
30.42  2.938  851
30.78  2.904  432
32.18  2.782  656
32.86  2.726  745
33.51  2.674  1000
39.83  2.263  244
46.65  1.947  231
50.50  1.807  255
58.83  1.570  203
59.06  1.564  402
60.91  1.521  214


Entry 3:
Tb8Er2Tm: simulated powder X-ray diffraction pattern (CuKα), based on a PBE-relaxed structure.
No peak broadening, texture or thermal motion is included.

Cell and atoms:
Unit cell a=6.1164 b=6.1246 c=9.3675 alpha=89.95 beta=83.68 gamma=80.31
Element x y z (fractional)
1 Tb 0.0460 0.4086 0.3184
2 Tb 0.1359 0.2272 0.9549
3 Tb 0.2279 0.0452 0.5908
4 Tb 0.4094 0.6816 0.8634
5 Tb 0.5906 0.3184 0.1366
6 Tb 0.7721 0.9548 0.4092
7 Tb 0.8641 0.7728 0.0451
8 Tb 0.9540 0.5914 0.6816
9 Er 0.3178 0.8632 0.2281
10 Er 0.6822 0.1368 0.7719
11 Tm 0.5000 0.5000 0.5000

Largest 8 diffraction maxima, sorted by position, 5 to 70 degrees two-theta:
2theta  d/Å  intensity
30.98  2.887  1000
35.92  2.500  506
51.68  1.769  240
51.76  1.766  120
61.46  1.509  250
61.58  1.506  177
64.53  1.444  62
64.60  1.443  61


Entry 4:
Tb4Er7Tm2: simulated powder X-ray diffraction pattern (CuKα), based on a PBE-relaxed structure.
No peak broadening, texture or thermal motion is included.

Cell and atoms:
Unit cell a=6.0018 b=6.0018 c=13.1181 alpha=90.00 beta=90.00 gamma=120.00
Element x y z (fractional)
1 Tb 0.0000 0.0000 0.1073
2 Tb 0.0000 0.0000 0.8927
3 Tb 0.3333 0.6667 0.0000
4 Tb 0.6667 0.3333 0.0000
5 Er 0.0000 0.0000 0.5000
6 Er 0.0000 0.3546 0.7135
7 Er 0.0000 0.6454 0.2865
8 Er 0.3546 0.0000 0.7135
9 Er 0.3546 0.3546 0.2865
10 Er 0.6454 0.0000 0.2865
11 Er 0.6454 0.6454 0.7135
12 Tm 0.3333 0.6667 0.5000
13 Tm 0.6667 0.3333 0.5000

Largest 12 diffraction maxima, sorted by position, 5 to 70 degrees two-theta:
2theta  d/Å  intensity
27.19  3.280  185
29.77  3.001  141
30.56  2.925  449
32.82  2.729  1000
34.18  2.624  154
36.31  2.474  333
40.76  2.214  148
51.73  1.767  177
52.84  1.733  297
63.63  1.462  169
64.45  1.446  139
64.79  1.439  148